Record 1
Diffraction record for K2CoH8C2O10. The powder XRD pattern is computed, not measured: it uses a cell relaxed with PBE+U and Cu Kα (λ = 1.5418 Å).

Main lines, by angle (2θ from 5° to 70°):
d (Å)	Position (°2θ)	Rel. int.
6.331	13.99	72
5.499	16.12	74
4.652	19.08	50
3.784	23.51	43
3.219	27.72	46
3.036	29.42	66
3.025	29.53	100
2.565	34.99	52
2.521	35.62	37
2.076	43.61	51

Cell and atoms:
Lattice parameters (Å, degrees): 6.9751 6.3064 12.3706 90.00 114.81 90.00
Atoms (fractional coordinates):
K: 0.2320 0.1580 0.3173
K: 0.2320 0.3420 0.8173
K: 0.7680 0.6580 0.1827
K: 0.7680 0.8420 0.6827
Co: 0.0000 0.0000 0.0000
Co: 0.0000 0.5000 0.5000
H: 0.2014 0.6649 0.3707
H: 0.2014 0.8351 0.8707
H: 0.2114 0.6981 0.9870
H: 0.2114 0.8019 0.4870
H: 0.2970 0.1700 0.5802
H: 0.2970 0.3300 0.0802
H: 0.4262 0.1149 0.1107
H: 0.4262 0.3851 0.6107
H: 0.5738 0.6149 0.3893
H: 0.5738 0.8851 0.8893
H: 0.7030 0.6700 0.9198
H: 0.7030 0.8300 0.4198
H: 0.7886 0.1981 0.5130
H: 0.7886 0.3019 0.0130
H: 0.7986 0.1649 0.1293
H: 0.7986 0.3351 0.6293
C: 0.2592 0.6580 0.1847
C: 0.2592 0.8420 0.6847
C: 0.7408 0.1580 0.3153
C: 0.7408 0.3420 0.8153
O: 0.1140 0.7241 0.4114
O: 0.1140 0.7759 0.9114
O: 0.1252 0.6862 0.6555
O: 0.1252 0.8138 0.1555
O: 0.2888 0.1776 0.0543
O: 0.2888 0.3224 0.5543
O: 0.3190 0.5707 0.2891
O: 0.3190 0.9293 0.7891
O: 0.3335 0.5872 0.1107
O: 0.3335 0.9128 0.6107
O: 0.6665 0.0872 0.3893
O: 0.6665 0.4128 0.8893
O: 0.6810 0.0707 0.2109
O: 0.6810 0.4293 0.7109
O: 0.7112 0.6776 0.4457
O: 0.7112 0.8224 0.9457
O: 0.8748 0.1862 0.8445
O: 0.8748 0.3138 0.3445
O: 0.8860 0.2241 0.0886
O: 0.8860 0.2759 0.5886

=====

Record 2
Diffraction record for CoH8C6N6O2. The powder XRD pattern is computed, not measured: it uses a cell relaxed with PBE+U and Cu Kα (λ = 1.5418 Å).

Main lines, by angle (2θ from 5° to 70°):
d (Å)	Position (°2θ)	Rel. int.
6.137	14.43	48
5.798	15.28	51
5.429	16.33	37
4.980	17.81	100
3.622	24.58	74
3.234	27.58	70
3.101	28.79	29
2.967	30.12	24
2.240	40.25	29
2.086	43.38	27

Cell and atoms:
Lattice parameters (Å, degrees): 6.7068 7.2951 7.3033 61.28 64.38 64.37
Atoms (fractional coordinates):
Co: 0.0000 0.0000 0.0000
H: 0.2710 0.7487 0.7499
H: 0.3778 0.3923 0.1529
H: 0.3809 0.1468 0.3901
H: 0.4532 0.1363 0.1283
H: 0.5468 0.8637 0.8717
H: 0.6191 0.8532 0.6099
H: 0.6222 0.6077 0.8471
H: 0.7290 0.2513 0.2501
C: 0.1764 0.7380 0.4314
C: 0.1772 0.4312 0.7372
C: 0.4653 0.2168 0.2151
C: 0.5347 0.7832 0.7849
C: 0.8228 0.5688 0.2628
C: 0.8236 0.2620 0.5686
N: 0.1461 0.8538 0.2596
N: 0.1477 0.2589 0.8527
N: 0.2163 0.6215 0.6211
N: 0.7837 0.3785 0.3789
N: 0.8523 0.7411 0.1473
N: 0.8539 0.1462 0.7404
O: 0.2937 0.8197 0.8234
O: 0.7063 0.1803 0.1766

=====

Record 3
Diffraction record for CoH14C10N8O2. The powder XRD pattern is computed, not measured: it uses a cell relaxed with PBE+U and Cu Kα (λ = 1.5418 Å).

Main lines, by angle (2θ from 5° to 70°):
d (Å)	Position (°2θ)	Rel. int.
7.640	11.58	59
6.531	13.56	65
6.207	14.27	100
5.467	16.21	34
4.286	20.73	64
3.912	22.73	84
3.820	23.29	27
3.761	23.66	52
3.238	27.55	27
3.216	27.74	37

Cell and atoms:
Lattice parameters (Å, degrees): 7.9923 7.9923 8.1833 108.43 108.43 56.14
Atoms (fractional coordinates):
Co: 0.0000 0.0000 0.0000
H: 0.0126 0.2477 0.6107
H: 0.2250 0.2250 0.2497
H: 0.2342 0.2342 0.7640
H: 0.2477 0.0126 0.6107
H: 0.2545 0.4919 0.6558
H: 0.3709 0.3709 0.4649
H: 0.4919 0.2545 0.6558
H: 0.5081 0.7455 0.3442
H: 0.6291 0.6291 0.5351
H: 0.7455 0.5081 0.3442
H: 0.7523 0.9874 0.3893
H: 0.7658 0.7658 0.2360
H: 0.7750 0.7750 0.7503
H: 0.9874 0.7523 0.3893
C: 0.1790 0.1790 0.6301
C: 0.1797 0.1797 0.3351
C: 0.2405 0.5454 0.0827
C: 0.3438 0.3438 0.5750
C: 0.4546 0.7595 0.9173
C: 0.5454 0.2405 0.0827
C: 0.6562 0.6562 0.4250
C: 0.7595 0.4546 0.9173
C: 0.8203 0.8203 0.6649
C: 0.8210 0.8210 0.3699
N: 0.1091 0.7037 0.0404
N: 0.2330 0.2330 0.5071
N: 0.2963 0.8909 0.9596
N: 0.3743 0.3743 0.1395
N: 0.6257 0.6257 0.8605
N: 0.7037 0.1091 0.0404
N: 0.7670 0.7670 0.4929
N: 0.8909 0.2963 0.9596
O: 0.0841 0.0841 0.2746
O: 0.9159 0.9159 0.7254

=====

Record 4
Diffraction record for CoH12PdC4N4O12. The powder XRD pattern is computed, not measured: it uses a cell relaxed with PBE+U and Cu Kα (λ = 1.5418 Å).

Main lines, by angle (2θ from 5° to 70°):
d (Å)	Position (°2θ)	Rel. int.
7.569	11.69	100
5.202	17.05	66
4.524	19.62	57
4.287	20.72	17
3.932	22.62	27
3.782	23.52	42
3.382	26.36	71
3.136	28.46	40
3.060	29.18	18
2.993	29.85	24

Cell and atoms:
Lattice parameters (Å, degrees): 8.8599 8.8599 6.3359 107.26 107.26 117.37
Atoms (fractional coordinates):
Co: 0.0000 0.0000 0.0000
H: 0.2631 0.5771 0.7830
H: 0.2810 0.4492 0.5557
H: 0.3126 0.5321 0.2330
H: 0.4229 0.7369 0.2170
H: 0.4492 0.2810 0.5557
H: 0.4679 0.6874 0.7670
H: 0.5321 0.3126 0.2330
H: 0.5508 0.7190 0.4443
H: 0.5771 0.2631 0.7830
H: 0.6874 0.4679 0.7670
H: 0.7190 0.5508 0.4443
H: 0.7369 0.4229 0.2170
Pd: 0.5000 0.5000 0.0000
C: 0.0710 0.7261 0.8983
C: 0.2739 0.9290 0.1017
C: 0.7261 0.0710 0.8983
C: 0.9290 0.2739 0.1017
N: 0.3614 0.5582 0.7455
N: 0.4418 0.6386 0.2545
N: 0.5582 0.3614 0.7455
N: 0.6386 0.4418 0.2545
O: 0.0553 0.0553 0.6994
O: 0.0557 0.5723 0.8090
O: 0.0742 0.9258 0.5000
O: 0.0783 0.2647 0.1663
O: 0.2647 0.0783 0.1663
O: 0.4277 0.9443 0.1910
O: 0.5723 0.0557 0.8090
O: 0.7353 0.9217 0.8337
O: 0.9217 0.7353 0.8337
O: 0.9258 0.0742 0.5000
O: 0.9443 0.4277 0.1910
O: 0.9447 0.9447 0.3006

=====

Record 5
Diffraction record for CoH20PtC4N4O12. The powder XRD pattern is computed, not measured: it uses a cell relaxed with PBE+U and Cu Kα (λ = 1.5418 Å).

Main lines, by angle (2θ from 5° to 70°):
d (Å)	Position (°2θ)	Rel. int.
7.577	11.68	56
5.100	17.39	100
4.231	21.00	59
4.138	21.48	29
3.607	24.68	54
3.254	27.41	41
3.153	28.30	29
3.041	29.37	39
2.720	32.94	30
2.184	41.35	34

Cell and atoms:
Lattice parameters (Å, degrees): 9.1333 9.1333 9.1333 133.54 133.43 67.89
Atoms (fractional coordinates):
Co: 0.0000 0.0000 0.0000
H: 0.1164 0.5265 0.8149
H: 0.1189 0.2874 0.6007
H: 0.1960 0.3684 0.8771
H: 0.2884 0.4735 0.5899
H: 0.2970 0.9476 0.3535
H: 0.3088 0.7053 0.3837
H: 0.3133 0.7126 0.8314
H: 0.3216 0.9251 0.6163
H: 0.4059 0.0524 0.3494
H: 0.4913 0.3189 0.1229
H: 0.5087 0.6316 0.8276
H: 0.5941 0.9435 0.6465
H: 0.6784 0.2947 0.6035
H: 0.6867 0.5182 0.3993
H: 0.6912 0.0749 0.3965
H: 0.7030 0.0565 0.6506
H: 0.7116 0.3015 0.1851
H: 0.8040 0.6811 0.1724
H: 0.8811 0.4818 0.1686
H: 0.8836 0.6985 0.4101
Pt: 0.5000 0.5000 0.0000
C: 0.1751 0.2909 0.1015
C: 0.1894 0.0736 0.8985
C: 0.8106 0.7091 0.8842
C: 0.8249 0.9264 0.1158
N: 0.1992 0.4095 0.7985
N: 0.3890 0.5905 0.7896
N: 0.6110 0.4007 0.2015
N: 0.8008 0.5993 0.2104
O: 0.1019 0.2946 0.1832
O: 0.1113 0.9187 0.8168
O: 0.2353 0.4432 0.1668
O: 0.2746 0.0000 0.2746
O: 0.2765 0.0685 0.8332
O: 0.3550 0.8550 0.5000
O: 0.6450 0.1450 0.5000
O: 0.7235 0.5568 0.7921
O: 0.7254 0.0000 0.7254
O: 0.7647 0.9315 0.2079
O: 0.8887 0.7054 0.8073
O: 0.8981 0.0813 0.1927

=====

Question: What is the formula in the first record?
Answer: K2CoH8C2O10